1.
# Nb6Pb10O25
Simulated powder X-ray diffraction pattern, Cu Kα X-rays. Input: a cell relaxed with PBE.

Cell and atoms:
abc: 7.694 7.717 11.053
angles: 89.41 89.97 89.98
Sites, in units of the cell vectors:
Nb 0.000 0.000 0.000
Nb 0.008 0.506 0.501
Nb 0.252 0.762 0.749
Nb 0.489 0.000 0.005
Nb 0.508 0.507 0.503
Nb 0.754 0.254 0.249
Pb 0.008 0.521 0.007
Pb 0.252 0.758 0.245
Pb 0.254 0.267 0.762
Pb 0.258 0.242 0.248
Pb 0.492 0.512 0.002
Pb 0.518 0.006 0.516
Pb 0.753 0.767 0.257
Pb 0.755 0.257 0.749
Pb 0.757 0.744 0.734
Pb 0.984 0.008 0.513
O 0.011 0.793 0.113
O 0.033 0.316 0.637
O 0.037 0.207 0.891
O 0.056 0.838 0.874
O 0.061 0.686 0.651
O 0.250 0.053 0.066
O 0.252 0.489 0.138
O 0.253 0.001 0.689
O 0.254 0.529 0.853
O 0.255 0.484 0.468
O 0.437 0.841 0.879
O 0.445 0.688 0.652
O 0.468 0.213 0.893
O 0.474 0.315 0.636
O 0.497 0.797 0.117
O 0.524 0.725 0.416
O 0.558 0.168 0.155
O 0.564 0.359 0.374
O 0.749 0.001 0.972
O 0.750 0.060 0.379
O 0.754 0.523 0.574
O 0.760 0.478 0.172
O 0.941 0.157 0.156
O 0.944 0.356 0.375
O 0.982 0.725 0.416

Peak list (10 most intense, 10° ≤ 2θ ≤ 80°, sorted by position)
2θ (°), I/Imax
28.1, 328
28.3, 1000
32.4, 183
32.9, 353
46.6, 189
47.0, 176
47.3, 97
55.3, 94
55.9, 100
56.0, 197


2.
# Li3Sb3P4O16
Simulated powder X-ray diffraction pattern, Cu Kα X-rays. Input: a cell relaxed with PBE.

Cell and atoms:
abc: 9.118 9.659 10.485
angles: 108.97 103.06 111.24
Sites, in units of the cell vectors:
Li 0.014 0.058 0.208
Li 0.258 0.675 0.736
Li 0.373 0.418 0.351
Li 0.627 0.582 0.649
Li 0.742 0.325 0.264
Li 0.986 0.942 0.792
Sb 0.235 0.820 0.250
Sb 0.239 0.480 0.946
Sb 0.278 0.034 0.653
Sb 0.722 0.966 0.347
Sb 0.761 0.520 0.054
Sb 0.765 0.180 0.750
P 0.019 0.303 0.085
P 0.062 0.254 0.578
P 0.421 0.240 0.993
P 0.459 0.789 0.559
P 0.541 0.211 0.441
P 0.579 0.760 0.007
P 0.938 0.746 0.422
P 0.981 0.697 0.915
O 0.021 0.822 0.077
O 0.023 0.867 0.594
O 0.094 0.837 0.380
O 0.112 0.432 0.616
O 0.116 0.269 0.199
O 0.142 0.686 0.902
O 0.144 0.486 0.103
O 0.212 0.229 0.651
O 0.262 0.078 0.861
O 0.338 0.816 0.636
O 0.347 0.072 0.342
O 0.373 0.383 0.045
O 0.412 0.813 0.417
O 0.452 0.706 0.088
O 0.460 0.624 0.528
O 0.497 0.779 0.879
O 0.503 0.221 0.121
O 0.540 0.376 0.472
O 0.548 0.294 0.912
O 0.588 0.187 0.583
O 0.627 0.617 0.955
O 0.653 0.928 0.658
O 0.662 0.184 0.364
O 0.738 0.922 0.139
O 0.788 0.771 0.349
O 0.856 0.514 0.897
O 0.858 0.314 0.098
O 0.884 0.731 0.801
O 0.888 0.568 0.384
O 0.906 0.163 0.620
O 0.977 0.133 0.406
O 0.979 0.178 0.923

Peak list (10 most intense, 10° ≤ 2θ ≤ 80°, sorted by position)
2θ (°), I/Imax
10.9, 1000
23.0, 223
26.4, 96
26.6, 243
27.0, 103
27.7, 86
29.3, 115
29.8, 88
33.7, 98
35.5, 135


3.
# Ag15S5I4Br
Simulated powder X-ray diffraction pattern, Cu Kα X-rays. Input: a cell relaxed with PBE.

Cell and atoms:
abc: 6.994 8.559 10.987
angles: 105.12 107.97 90.43
Sites, in units of the cell vectors:
Ag 0.000 0.000 0.000
Ag 0.030 0.611 0.547
Ag 0.153 0.970 0.665
Ag 0.197 0.798 0.399
Ag 0.232 0.410 0.948
Ag 0.356 0.774 0.063
Ag 0.398 0.600 0.800
Ag 0.431 0.210 0.345
Ag 0.552 0.571 0.462
Ag 0.599 0.395 0.197
Ag 0.632 0.010 0.752
Ag 0.752 0.370 0.864
Ag 0.797 0.197 0.599
Ag 0.828 0.812 0.145
Ag 0.949 0.169 0.262
S 0.196 0.949 0.224
S 0.398 0.750 0.628
S 0.596 0.548 0.027
S 0.796 0.348 0.425
S 0.997 0.148 0.828
I 0.150 0.456 0.212
I 0.349 0.255 0.611
I 0.748 0.856 0.410
I 0.949 0.655 0.810
Br 0.562 0.054 0.016

Peak list (10 most intense, 10° ≤ 2θ ≤ 80°, sorted by position)
2θ (°), I/Imax
18.0, 239
25.6, 485
31.2, 659
31.4, 359
31.5, 705
36.4, 1000
40.8, 169
41.0, 294
45.1, 375
52.3, 190


4.
# GdZr
Simulated powder X-ray diffraction pattern, Cu Kα X-rays. Input: a cell relaxed with PBE.

Cell and atoms:
abc: 3.394 3.394 5.446
angles: 90.00 90.00 120.00
Sites, in units of the cell vectors:
Gd 0.000 0.000 0.000
Zr 0.667 0.333 0.500

Peak list (10 most intense, 10° ≤ 2θ ≤ 80°, sorted by position)
2θ (°), I/Imax
16.3, 79
30.4, 274
32.9, 251
34.7, 1000
45.4, 182
54.0, 182
59.9, 204
64.7, 209
65.8, 153
73.2, 44


5.
# ZrSn
Simulated powder X-ray diffraction pattern, Cu Kα X-rays. Input: a cell relaxed with PBE.

Cell and atoms:
abc: 5.227 9.546 5.611
angles: 90.00 90.00 90.00
Sites, in units of the cell vectors:
Zr 0.000 0.062 0.000
Zr 0.000 0.264 0.431
Zr 0.000 0.736 0.931
Zr 0.000 0.938 0.500
Zr 0.500 0.238 0.809
Zr 0.500 0.762 0.309
Sn 0.000 0.393 0.921
Sn 0.000 0.607 0.421
Sn 0.500 0.089 0.308
Sn 0.500 0.431 0.380
Sn 0.500 0.569 0.880
Sn 0.500 0.911 0.808

Peak list (10 most intense, 10° ≤ 2θ ≤ 80°, sorted by position)
2θ (°), I/Imax
31.9, 228
32.3, 102
34.3, 395
36.3, 238
36.7, 1000
47.5, 151
57.1, 82
63.0, 208
68.4, 95
69.1, 70


6.
# Mg2Si
Simulated powder X-ray diffraction pattern, Cu Kα X-rays. Input: a cell relaxed with PBE.

Cell and atoms:
abc: 5.806 6.502 7.257
angles: 80.39 70.78 70.93
Sites, in units of the cell vectors:
Mg 0.000 0.000 0.000
Mg 0.003 0.340 0.628
Mg 0.258 0.625 0.288
Mg 0.338 0.086 0.245
Mg 0.397 0.682 0.661
Mg 0.706 0.268 0.370
Mg 0.864 0.882 0.634
Mg 0.994 0.512 0.002
Si 0.429 0.224 0.787
Si 0.514 0.795 0.951
Si 0.592 0.378 0.986
Si 0.752 0.741 0.327

Peak list (10 most intense, 10° ≤ 2θ ≤ 80°, sorted by position)
2θ (°), I/Imax
32.8, 589
34.3, 702
34.8, 747
35.3, 343
36.1, 308
36.5, 739
38.1, 1000
39.6, 648
40.3, 556
41.4, 312


7.
# Sr10In17Au27
Simulated powder X-ray diffraction pattern, Cu Kα X-rays. Input: a cell relaxed with PBE.

Cell and atoms:
abc: 9.152 4.752 30.064
angles: 90.00 90.39 90.00
Sites, in units of the cell vectors:
Sr 0.000 0.000 0.000
Sr 0.000 0.000 0.252
Sr 0.114 0.000 0.392
Sr 0.114 0.000 0.860
Sr 0.130 0.000 0.624
Sr 0.462 0.500 0.126
Sr 0.483 0.500 0.891
Sr 0.484 0.500 0.361
Sr 0.599 0.500 0.751
Sr 0.608 0.500 0.504
In 0.072 0.000 0.126
In 0.229 0.000 0.744
In 0.231 0.000 0.507
In 0.370 0.500 0.007
In 0.370 0.500 0.245
In 0.529 0.500 0.625
In 0.608 0.000 0.037
In 0.608 0.000 0.215
In 0.735 0.000 0.411
In 0.735 0.000 0.840
In 0.766 0.000 0.673
In 0.828 0.500 0.177
In 0.829 0.500 0.075
In 0.864 0.500 0.341
In 0.864 0.500 0.911
In 0.978 0.500 0.540
In 0.990 0.500 0.714
Au 0.131 0.500 0.071
Au 0.131 0.500 0.180
Au 0.153 0.500 0.315
Au 0.153 0.500 0.937
Au 0.267 0.500 0.801
Au 0.272 0.500 0.451
Au 0.283 0.500 0.560
Au 0.287 0.500 0.691
Au 0.312 0.000 0.061
Au 0.312 0.000 0.191
Au 0.329 0.000 0.301
Au 0.330 0.000 0.951
Au 0.445 0.000 0.815
Au 0.446 0.000 0.437
Au 0.466 0.000 0.573
Au 0.466 0.000 0.681
Au 0.685 0.500 0.261
Au 0.685 0.500 0.991
Au 0.703 0.000 0.316
Au 0.703 0.000 0.936
Au 0.746 0.000 0.126
Au 0.780 0.000 0.575
Au 0.854 0.500 0.628
Au 0.895 0.500 0.436
Au 0.895 0.500 0.816
Au 0.911 0.000 0.760
Au 0.916 0.000 0.490

Peak list (10 most intense, 10° ≤ 2θ ≤ 80°, sorted by position)
2θ (°), I/Imax
19.4, 191
19.6, 221
31.8, 616
31.9, 584
35.1, 530
37.9, 1000
38.0, 465
40.9, 226
41.1, 205
64.7, 184